No. 1
Calculated powder X-ray diffraction pattern of Y2MgMn2S2O5 for copper Kα, from DFT lattice parameters and positions (GGA+U).

Peak list (12 most intense, 10 to 90 degrees two-theta, low angle first)
d [Å]  intensity
5.688  41
3.793  19
3.495  37
3.405  21
2.997  18
2.739  100
2.530  23
2.451  55
2.222  22
2.149  45
1.940  29
1.933  29

Structure:
```
data_Y2MgMn2S2O5
_symmetry_space_group_name_H-M 'P 1'
_symmetry_Int_Tables_number 1
_cell_length_a 3.869
_cell_length_b 3.881
_cell_length_c 11.590
_cell_angle_alpha 97.76
_cell_angle_beta 97.80
_cell_angle_gamma 90.07
loop_
_symmetry_equiv_pos_as_xyz
'x,y,z'
loop_
_atom_site_label
_atom_site_type_symbol
_atom_site_fract_x
_atom_site_fract_y
_atom_site_fract_z
Y1 Y 0.000 0.000 0.000
Y2 Y 0.365 0.364 0.659
Mg1 Mg 0.554 0.553 0.165
Mn1 Mn 0.063 0.060 0.265
Mn2 Mn 0.799 0.799 0.503
S1 S 0.464 0.464 0.916
S2 S 0.897 0.896 0.737
O1 O 0.046 0.534 0.142
O2 O 0.314 0.816 0.534
O3 O 0.533 0.046 0.142
O4 O 0.746 0.748 0.341
O5 O 0.816 0.314 0.534
```

No. 2
Calculated powder X-ray diffraction pattern of MgMn3SbO8 for copper Kα, from DFT lattice parameters and positions (GGA+U).

Peak list (12 most intense, 10 to 90 degrees two-theta, low angle first)
d [Å]  intensity
5.106  14
4.955  100
2.723  15
2.616  13
2.587  14
2.538  9
2.478  13
2.248  22
2.177  21
2.106  19
1.568  12
1.517  8

Structure:
```
data_MgMn3SbO8
_symmetry_space_group_name_H-M 'P -1'
_symmetry_Int_Tables_number 2
_cell_length_a 6.039
_cell_length_b 6.049
_cell_length_c 6.073
_cell_angle_alpha 91.84
_cell_angle_beta 117.58
_cell_angle_gamma 117.78
loop_
_symmetry_equiv_pos_as_xyz
'x,y,z'
'-x,-y,-z'
loop_
_atom_site_label
_atom_site_type_symbol
_atom_site_fract_x
_atom_site_fract_y
_atom_site_fract_z
Mg1 Mg 0.000 0.000 0.000
Mn1 Mn 0.000 0.000 0.500
Mn2 Mn 0.000 0.500 0.500
Mn3 Mn 0.500 0.000 0.000
Sb1 Sb 0.500 0.500 0.000
O1 O 0.051 0.257 0.758
O2 O 0.068 0.814 0.759
O3 O 0.482 0.242 0.210
O4 O 0.484 0.753 0.204
```